# 1
Starting from the GGA-PBE geometry in Alexandria, the powder X-ray diffraction pattern of TmVRh was calculated for λ = 1.5418 Å (Cu Kα).

Structural model:
Cell: 5.4649 5.4649 6.4899 Å, 107.53 107.53 35.28°
Positions (direct):
Tm  0.1441  0.1441  0.3177
Tm  0.8559  0.8559  0.6823
V  0.1759  0.1759  0.8594
V  0.8241  0.8241  0.1406
Rh  0.5000  0.5000  0.0000
Rh  0.5000  0.5000  0.5000

Main lines, low angle first (2θ = 10–90°):
d = 4.635 Å, intensity 25; d = 3.369 Å, intensity 13; d = 2.690 Å, intensity 13; d = 2.335 Å, intensity 64; d = 2.318 Å, intensity 100; d = 2.306 Å, intensity 29; d = 1.656 Å, intensity 12; d = 1.347 Å, intensity 11; d = 1.345 Å, intensity 18; d = 1.335 Å, intensity 11



# 2
Starting from the GGA-PBE geometry in Alexandria, the powder X-ray diffraction pattern of YTm4Rh5 was calculated for λ = 1.5418 Å (Cu Kα).

Structural model:
Cell: 3.3471 3.3471 17.3740 Å, 90.00 90.00 90.00°
Positions (direct):
Y  0.0000  0.0000  0.0000
Tm  0.0000  0.0000  0.2020
Tm  0.0000  0.0000  0.4008
Tm  0.0000  0.0000  0.5992
Tm  0.0000  0.0000  0.7980
Rh  0.5000  0.5000  0.1044
Rh  0.5000  0.5000  0.3018
Rh  0.5000  0.5000  0.5000
Rh  0.5000  0.5000  0.6982
Rh  0.5000  0.5000  0.8956

Main lines, low angle first (2θ = 10–90°):
d = 3.347 Å, intensity 4; d = 2.411 Å, intensity 100; d = 2.367 Å, intensity 48; d = 1.737 Å, intensity 9; d = 1.674 Å, intensity 17; d = 1.401 Å, intensity 18; d = 1.375 Å, intensity 34; d = 1.205 Å, intensity 11; d = 1.183 Å, intensity 5; d = 1.095 Å, intensity 8



# 3
Starting from the GGA-PBE geometry in Alexandria, the powder X-ray diffraction pattern of YTm2Rh4 was calculated for λ = 1.5418 Å (Cu Kα).

Structural model:
Cell: 8.1308 8.1308 8.1308 Å, 32.99 32.99 32.99°
Positions (direct):
Y  0.0000  0.0000  0.0000
Tm  0.2393  0.2393  0.2393
Tm  0.7607  0.7607  0.7607
Rh  0.1223  0.1223  0.1223
Rh  0.3771  0.3771  0.3771
Rh  0.6229  0.6229  0.6229
Rh  0.8777  0.8777  0.8777

Main lines, low angle first (2θ = 10–90°):
d = 3.841 Å, intensity 12; d = 3.778 Å, intensity 27; d = 3.020 Å, intensity 12; d = 2.337 Å, intensity 92; d = 2.309 Å, intensity 100; d = 1.979 Å, intensity 12; d = 1.642 Å, intensity 31; d = 1.338 Å, intensity 31; d = 1.333 Å, intensity 17; d = 1.154 Å, intensity 11



# 4
Starting from the GGA-PBE geometry in Alexandria, the powder X-ray diffraction pattern of Y2TmRh9 was calculated for λ = 1.5418 Å (Cu Kα).

Structural model:
Cell: 9.2990 9.2990 9.2990 Å, 32.77 32.77 32.77°
Positions (direct):
Y  0.1387  0.1387  0.1387
Y  0.8613  0.8613  0.8613
Tm  0.0000  0.0000  0.0000
Rh  0.0822  0.5824  0.5824
Rh  0.3330  0.3330  0.3330
Rh  0.4176  0.4176  0.9178
Rh  0.4176  0.9178  0.4176
Rh  0.5000  0.5000  0.5000
Rh  0.5824  0.0822  0.5824
Rh  0.5824  0.5824  0.0822
Rh  0.6670  0.6670  0.6670
Rh  0.9178  0.4176  0.4176

Main lines, low angle first (2θ = 10–90°):
d = 2.900 Å, intensity 17; d = 2.669 Å, intensity 23; d = 2.624 Å, intensity 26; d = 2.264 Å, intensity 32; d = 2.253 Å, intensity 100; d = 2.198 Å, intensity 26; d = 2.087 Å, intensity 27; d = 1.432 Å, intensity 23; d = 1.312 Å, intensity 24; d = 1.126 Å, intensity 18



# 5
Starting from the GGA-PBE geometry in Alexandria, the powder X-ray diffraction pattern of Y2TmRh4 was calculated for λ = 1.5418 Å (Cu Kα).

Structural model:
Cell: 7.0336 7.0336 7.0336 Å, 139.79 139.79 58.17°
Positions (direct):
Y  0.2242  0.2242  0.0000
Y  0.7758  0.7758  0.0000
Tm  0.5000  0.5000  0.0000
Rh  0.1189  0.6189  0.5000
Rh  0.3811  0.8811  0.5000
Rh  0.6189  0.1189  0.5000
Rh  0.8811  0.3811  0.5000

Main lines, low angle first (2θ = 10–90°):
d = 4.500 Å, intensity 21; d = 3.126 Å, intensity 29; d = 2.418 Å, intensity 66; d = 2.286 Å, intensity 100; d = 1.912 Å, intensity 14; d = 1.710 Å, intensity 23; d = 1.369 Å, intensity 38; d = 1.363 Å, intensity 8; d = 1.297 Å, intensity 11; d = 1.143 Å, intensity 8



# 6
Starting from the GGA-PBE geometry in Alexandria, the powder X-ray diffraction pattern of YTm3Rh8 was calculated for λ = 1.5418 Å (Cu Kα).

Structural model:
Cell: 5.3127 5.3127 8.6842 Å, 90.00 90.00 120.00°
Positions (direct):
Y  0.0000  0.0000  0.0000
Tm  0.0000  0.0000  0.3680
Tm  0.6667  0.3333  0.4988
Tm  0.6667  0.3333  0.8656
Rh  0.1641  0.3282  0.6820
Rh  0.1641  0.8359  0.6820
Rh  0.3333  0.6667  0.4328
Rh  0.3333  0.6667  0.9327
Rh  0.5026  0.0052  0.1844
Rh  0.5026  0.4974  0.1844
Rh  0.6718  0.8359  0.6820
Rh  0.9948  0.4974  0.1844

Main lines, low angle first (2θ = 10–90°):
d = 2.656 Å, intensity 41; d = 2.450 Å, intensity 85; d = 2.266 Å, intensity 100; d = 2.224 Å, intensity 80; d = 2.171 Å, intensity 14; d = 1.491 Å, intensity 34; d = 1.446 Å, intensity 29; d = 1.386 Å, intensity 30; d = 1.328 Å, intensity 27; d = 1.168 Å, intensity 16



# 7
Starting from the GGA-PBE geometry in Alexandria, the powder X-ray diffraction pattern of Y3TmRh8 was calculated for λ = 1.5418 Å (Cu Kα).

Structural model:
Cell: 9.2377 9.2377 9.2377 Å, 33.57 33.57 33.57°
Positions (direct):
Y  0.0000  0.0000  0.0000
Y  0.1254  0.1254  0.1254
Y  0.5007  0.5007  0.5007
Tm  0.6258  0.6258  0.6258
Rh  0.0621  0.5628  0.5628
Rh  0.0632  0.0632  0.5636
Rh  0.0632  0.5636  0.0632
Rh  0.3129  0.3129  0.3129
Rh  0.5628  0.0621  0.5628
Rh  0.5628  0.5628  0.0621
Rh  0.5636  0.0632  0.0632
Rh  0.8130  0.8130  0.8130

Main lines, low angle first (2θ = 10–90°):
d = 4.356 Å, intensity 5; d = 2.668 Å, intensity 28; d = 2.275 Å, intensity 100; d = 2.178 Å, intensity 39; d = 1.540 Å, intensity 10; d = 1.452 Å, intensity 31; d = 1.334 Å, intensity 27; d = 1.193 Å, intensity 4; d = 1.151 Å, intensity 11; d = 1.137 Å, intensity 14



# 8
Starting from the GGA-PBE geometry in Alexandria, the powder X-ray diffraction pattern of TmZnRh was calculated for λ = 1.5418 Å (Cu Kα).

Structural model:
Cell: 6.8557 4.0324 8.0328 Å, 90.00 90.00 90.00°
Positions (direct):
Tm  0.0386  0.2500  0.1822
Tm  0.4614  0.7500  0.6822
Tm  0.5386  0.2500  0.3178
Tm  0.9614  0.7500  0.8178
Zn  0.1374  0.2500  0.5631
Zn  0.3626  0.7500  0.0631
Zn  0.6374  0.2500  0.9369
Zn  0.8626  0.7500  0.4369
Rh  0.2456  0.7500  0.3759
Rh  0.2544  0.2500  0.8759
Rh  0.7456  0.7500  0.1241
Rh  0.7544  0.2500  0.6241

Main lines, low angle first (2θ = 10–90°):
d = 2.628 Å, intensity 65; d = 2.610 Å, intensity 40; d = 2.494 Å, intensity 33; d = 2.484 Å, intensity 100; d = 2.231 Å, intensity 29; d = 2.121 Å, intensity 24; d = 2.016 Å, intensity 35; d = 1.986 Å, intensity 26; d = 1.415 Å, intensity 17; d = 1.236 Å, intensity 17



# 9
Starting from the GGA-PBE geometry in Alexandria, the powder X-ray diffraction pattern of TmZr5Rh6 was calculated for λ = 1.5418 Å (Cu Kα).

Structural model:
Cell: 4.6789 6.6520 7.3821 Å, 90.00 108.17 90.00°
Positions (direct):
Tm  0.0000  0.0000  0.0000
Zr  0.0000  0.5000  0.0000
Zr  0.3330  0.0000  0.6658
Zr  0.3335  0.5000  0.6676
Zr  0.6670  0.0000  0.3342
Zr  0.6666  0.5000  0.3324
Rh  0.1706  0.2531  0.3410
Rh  0.1706  0.7469  0.3410
Rh  0.5000  0.2563  0.0000
Rh  0.5000  0.7437  0.0000
Rh  0.8294  0.2531  0.6590
Rh  0.8294  0.7469  0.6590

Main lines, low angle first (2θ = 10–90°):
d = 2.348 Å, intensity 51; d = 2.340 Å, intensity 100; d = 1.663 Å, intensity 9; d = 1.658 Å, intensity 8; d = 1.649 Å, intensity 8; d = 1.355 Å, intensity 17; d = 1.353 Å, intensity 17; d = 1.350 Å, intensity 17; d = 1.174 Å, intensity 5; d = 1.171 Å, intensity 5



# 10
Starting from the GGA-PBE geometry in Alexandria, the powder X-ray diffraction pattern of UZn20Rh2 was calculated for λ = 1.5418 Å (Cu Kα).

Structural model:
Cell: 10.0681 10.0681 10.0681 Å, 60.00 60.00 60.00°
Positions (direct):
U  0.1250  0.1250  0.1250
U  0.8750  0.8750  0.8750
Zn  0.0000  0.0000  0.0000
Zn  0.0000  0.0000  0.5000
Zn  0.0000  0.5000  0.0000
Zn  0.0566  0.3225  0.3225
Zn  0.0566  0.3225  0.7985
Zn  0.0566  0.7985  0.3225
Zn  0.2015  0.6775  0.6775
Zn  0.2015  0.6775  0.9434
Zn  0.2015  0.9434  0.6775
Zn  0.2364  0.2364  0.5136
Zn  0.2364  0.5136  0.2364
Zn  0.2364  0.5136  0.5136
Zn  0.3225  0.0566  0.3225
Zn  0.3225  0.0566  0.7985
Zn  0.3225  0.3225  0.0566
Zn  0.3225  0.3225  0.7985
Zn  0.3225  0.7985  0.0566
Zn  0.3225  0.7985  0.3225
Zn  0.4864  0.4864  0.7636
Zn  0.4864  0.7636  0.4864
Zn  0.4864  0.7636  0.7636
Zn  0.5000  0.0000  0.0000
Zn  0.5136  0.2364  0.2364
Zn  0.5136  0.2364  0.5136
Zn  0.5136  0.5136  0.2364
Zn  0.6775  0.2015  0.6775
Zn  0.6775  0.2015  0.9434
Zn  0.6775  0.6775  0.2015
Zn  0.6775  0.6775  0.9434
Zn  0.6775  0.9434  0.2015
Zn  0.6775  0.9434  0.6775
Zn  0.7636  0.4864  0.4864
Zn  0.7636  0.4864  0.7636
Zn  0.7636  0.7636  0.4864
Zn  0.7985  0.0566  0.3225
Zn  0.7985  0.3225  0.0566
Zn  0.7985  0.3225  0.3225
Zn  0.9434  0.2015  0.6775
Zn  0.9434  0.6775  0.2015
Zn  0.9434  0.6775  0.6775
Rh  0.0000  0.5000  0.5000
Rh  0.5000  0.0000  0.5000
Rh  0.5000  0.5000  0.0000
Rh  0.5000  0.5000  0.5000

Main lines, low angle first (2θ = 10–90°):
d = 4.293 Å, intensity 38; d = 2.517 Å, intensity 32; d = 2.407 Å, intensity 100; d = 2.251 Å, intensity 61; d = 2.171 Å, intensity 96; d = 2.147 Å, intensity 86; d = 1.678 Å, intensity 33; d = 1.370 Å, intensity 22; d = 1.259 Å, intensity 49; d = 1.208 Å, intensity 24



# 11
Starting from the GGA-PBE geometry in Alexandria, the powder X-ray diffraction pattern of UZn3Rh4 was calculated for λ = 1.5418 Å (Cu Kα).

Structural model:
Cell: 7.1030 7.1030 7.1030 Å, 144.15 144.15 51.60°
Positions (direct):
U  0.0000  0.0000  0.0000
Zn  0.2545  0.2545  0.0000
Zn  0.5000  0.5000  0.0000
Zn  0.7455  0.7455  0.0000
Rh  0.1305  0.6305  0.5000
Rh  0.3695  0.8695  0.5000
Rh  0.6305  0.1305  0.5000
Rh  0.8695  0.3695  0.5000

Main lines, low angle first (2θ = 10–90°):
d = 4.137 Å, intensity 15; d = 3.052 Å, intensity 9; d = 2.783 Å, intensity 9; d = 2.223 Å, intensity 100; d = 2.186 Å, intensity 48; d = 1.599 Å, intensity 9; d = 1.546 Å, intensity 16; d = 1.290 Å, intensity 16; d = 1.269 Å, intensity 32; d = 1.111 Å, intensity 11



# 12
Starting from the GGA-PBE geometry in Alexandria, the powder X-ray diffraction pattern of U2Zn16Rh was calculated for λ = 1.5418 Å (Cu Kα).

Structural model:
Cell: 6.7695 6.7695 6.7695 Å, 83.28 83.28 83.28°
Positions (direct):
U  0.0000  0.0000  0.0000
U  0.3303  0.3303  0.3303
Zn  0.0159  0.0159  0.4954
Zn  0.0159  0.4954  0.0159
Zn  0.1563  0.6582  0.6582
Zn  0.3055  0.3055  0.8127
Zn  0.3055  0.8127  0.3055
Zn  0.3667  0.6563  0.9456
Zn  0.3667  0.9456  0.6563
Zn  0.4954  0.0159  0.0159
Zn  0.6563  0.3667  0.9456
Zn  0.6563  0.9456  0.3667
Zn  0.6582  0.1563  0.6582
Zn  0.6582  0.6582  0.1563
Zn  0.7594  0.7594  0.7594
Zn  0.8127  0.3055  0.3055
Zn  0.9456  0.3667  0.6563
Zn  0.9456  0.6563  0.3667
Rh  0.5447  0.5447  0.5447

Main lines, low angle first (2θ = 10–90°):
d = 3.124 Å, intensity 43; d = 2.597 Å, intensity 52; d = 2.498 Å, intensity 34; d = 2.249 Å, intensity 74; d = 2.229 Å, intensity 100; d = 2.184 Å, intensity 22; d = 2.171 Å, intensity 32; d = 2.165 Å, intensity 27; d = 1.562 Å, intensity 23; d = 1.264 Å, intensity 22



# 13
Starting from the GGA-PBE geometry in Alexandria, the powder X-ray diffraction pattern of UZn2Rh2 was calculated for λ = 1.5418 Å (Cu Kα).

Structural model:
Cell: 4.0548 4.0548 5.7674 Å, 90.22 90.22 114.09°
Positions (direct):
U  0.0000  0.0000  0.0000
Zn  0.1763  0.8237  0.5000
Zn  0.8237  0.1763  0.5000
Rh  0.4991  0.4991  0.2497
Rh  0.5009  0.5009  0.7503

Main lines, low angle first (2θ = 10–90°):
d = 3.402 Å, intensity 72; d = 3.123 Å, intensity 25; d = 3.107 Å, intensity 24; d = 2.930 Å, intensity 78; d = 2.281 Å, intensity 100; d = 2.268 Å, intensity 98; d = 2.206 Å, intensity 61; d = 1.904 Å, intensity 62; d = 1.851 Å, intensity 26; d = 1.759 Å, intensity 20